No. 1
Computed XRD peak list
Compound: BaLuTe2AuS
Radiation: Cu Kα
Structure: a cell relaxed with PBE
Peak positions follow from Bragg's law for the DFT cell and can differ from measured ones.

Crystal structure
a = 4.361 Å, b = 14.910 Å, c = 10.705 Å
α = 90.00°, β = 90.00°, γ = 90.00°
Space group Cmcm (No. 63)
Unique sites:
Ba (0.000, 0.231, 0.250) x4
Lu (0.000, 0.500, 0.000) x4
Te (0.000, 0.141, 0.550) x8
Au (0.000, 0.022, 0.750) x4
S (0.000, 0.432, 0.750) x4

Top 10 peaks for 2θ = 10–90°, by intensity:
- 2θ 32.0, I = 100
- 2θ 40.3, I = 53
- 2θ 11.9, I = 47
- 2θ 28.5, I = 45
- 2θ 33.5, I = 37
- 2θ 27.0, I = 35
- 2θ 41.4, I = 34
- 2θ 33.0, I = 25
- 2θ 27.2, I = 25
- 2θ 29.2, I = 24



No. 2
Computed XRD peak list
Compound: BaMg2SiAu
Radiation: Cu Kα
Structure: a cell relaxed with PBE
Peak positions follow from Bragg's law for the DFT cell and can differ from measured ones.

Crystal structure
a = 4.602 Å, b = 4.602 Å, c = 11.713 Å
α = 90.00°, β = 90.00°, γ = 90.00°
Space group I4mm (No. 107)
Unique sites:
Ba (0.000, 0.000, 0.000) x2
Mg (0.000, 0.500, 0.260) x4
Si (0.000, 0.000, 0.394) x2
Au (0.000, 0.000, 0.618) x2

Top 10 peaks for 2θ = 10–90°, by intensity:
- 2θ 30.0, I = 100
- 2θ 31.4, I = 76
- 2θ 27.4, I = 69
- 2θ 15.1, I = 52
- 2θ 43.3, I = 50
- 2θ 50.1, I = 49
- 2θ 39.1, I = 48
- 2θ 20.7, I = 40
- 2θ 59.8, I = 39
- 2θ 66.2, I = 18



No. 3
Computed XRD peak list
Compound: BaMgZn2Au
Radiation: Cu Kα
Structure: a cell relaxed with PBE
Peak positions follow from Bragg's law for the DFT cell and can differ from measured ones.

Crystal structure
a = 4.620 Å, b = 4.620 Å, c = 11.467 Å
α = 90.00°, β = 90.00°, γ = 90.00°
Space group I4mm (No. 107)
Unique sites:
Ba (0.000, 0.000, 0.000) x2
Mg (0.000, 0.000, 0.624) x2
Zn (0.000, 0.500, 0.259) x4
Au (0.000, 0.000, 0.385) x2

Top 10 peaks for 2θ = 10–90°, by intensity:
- 2θ 31.5, I = 100
- 2θ 30.3, I = 87
- 2θ 39.0, I = 62
- 2θ 50.2, I = 43
- 2θ 15.5, I = 41
- 2θ 44.1, I = 39
- 2θ 20.7, I = 33
- 2θ 60.3, I = 31
- 2θ 27.3, I = 28
- 2θ 41.9, I = 24



No. 4
Computed XRD peak list
Compound: Ba2MoAuS6
Radiation: Cu Kα
Structure: a cell relaxed with PBE
Peak positions follow from Bragg's law for the DFT cell and can differ from measured ones.

Crystal structure
a = 4.581 Å, b = 4.581 Å, c = 13.343 Å
α = 90.00°, β = 90.00°, γ = 90.00°
Space group P4/mmm (No. 123)
Unique sites:
Ba (0.000, 0.000, 0.230) x2
Mo (0.500, 0.500, 0.000) x1
Au (0.500, 0.500, 0.500) x1
S (0.000, 0.000, 0.000) x1
S (0.000, 0.000, 0.500) x1
S (0.000, 0.500, 0.383) x4

Top 10 peaks for 2θ = 10–90°, by intensity:
- 2θ 23.6, I = 100
- 2θ 38.7, I = 61
- 2θ 27.5, I = 35
- 2θ 46.4, I = 34
- 2θ 39.3, I = 32
- 2θ 70.9, I = 20
- 2θ 26.7, I = 17
- 2θ 48.2, I = 14
- 2θ 45.3, I = 14
- 2θ 34.2, I = 13



No. 5
Computed XRD peak list
Compound: Ba3NdAu4
Radiation: Cu Kα
Structure: a cell relaxed with PBE
Peak positions follow from Bragg's law for the DFT cell and can differ from measured ones.

Crystal structure
a = 6.230 Å, b = 5.032 Å, c = 7.939 Å
α = 90.00°, β = 92.48°, γ = 90.00°
Space group Pm (No. 6)
Unique sites:
Ba (0.000, 0.000, 0.000) x1
Ba (0.210, 0.000, 0.495) x1
Ba (0.499, 0.500, 0.872) x1
Nd (0.712, 0.500, 0.366) x1
Au (0.207, 0.500, 0.234) x1
Au (0.528, 0.000, 0.173) x1
Au (0.713, 0.000, 0.613) x1
Au (0.979, 0.500, 0.707) x1

Top 10 peaks for 2θ = 10–90°, by intensity:
- 2θ 28.7, I = 100
- 2θ 32.6, I = 94
- 2θ 35.7, I = 82
- 2θ 35.4, I = 78
- 2θ 36.2, I = 76
- 2θ 31.7, I = 72
- 2θ 30.4, I = 45
- 2θ 47.5, I = 39
- 2θ 17.7, I = 32
- 2θ 36.3, I = 22



No. 6
Computed XRD peak list
Compound: BaNdTeAuSe2
Radiation: Cu Kα
Structure: a cell relaxed with PBE
Peak positions follow from Bragg's law for the DFT cell and can differ from measured ones.

Crystal structure
a = 4.281 Å, b = 15.192 Å, c = 11.227 Å
α = 90.00°, β = 90.00°, γ = 90.00°
Space group Cmcm (No. 63)
Unique sites:
Ba (0.000, 0.224, 0.250) x4
Nd (0.000, 0.000, 0.000) x4
Te (0.000, 0.095, 0.750) x4
Au (0.000, 0.475, 0.750) x4
Se (0.000, 0.369, 0.562) x8

Top 10 peaks for 2θ = 10–90°, by intensity:
- 2θ 31.7, I = 100
- 2θ 28.4, I = 77
- 2θ 11.7, I = 58
- 2θ 31.9, I = 36
- 2θ 39.8, I = 31
- 2θ 42.2, I = 26
- 2θ 53.8, I = 24
- 2θ 49.2, I = 21
- 2θ 15.8, I = 20
- 2θ 43.1, I = 18